Theoretical X-ray diffraction stick pattern of Ac2La3Pm4 for a wavelength of 1.5418 Å, from a GGA-PBE-relaxed structure.
Kinematic intensities with the Lorentz-polarization factor, no thermal factor.

Atomic structure:
a = 3.7667 Å, b = 3.7667 Å, c = 27.9484 Å
α = 90.00°, β = 90.00°, γ = 120.00°
Space group P3m1 (No. 156)
Symmetry-distinct sites (fractional):
Ac (0.0000, 0.0000, 0.0000) (multiplicity 1)
Ac (0.0000, 0.0000, 0.2295) (multiplicity 1)
La (0.0000, 0.0000, 0.7825) (multiplicity 1)
La (0.3333, 0.6667, 0.1170) (multiplicity 1)
La (0.3333, 0.6667, 0.4604) (multiplicity 1)
Pm (0.0000, 0.0000, 0.3568) (multiplicity 1)
Pm (0.0000, 0.0000, 0.5713) (multiplicity 1)
Pm (0.3333, 0.6667, 0.6734) (multiplicity 1)
Pm (0.3333, 0.6667, 0.8890) (multiplicity 1)

Largest 8 diffraction maxima, low angle first, 15° ≤ 2θ ≤ 90°:
| 2θ (°) | d_spacing | I (rel.) | h k l |
| --- | --- | --- | --- |
| 27.3 | 3.262 | 50.7 | 1 0 0 |
| 28.7 | 3.105 | 44.1 | 0 0 9 |
| 30.2 | 2.956 | 58.1 | 1 0 4 |
| 31.8 | 2.817 | 100.0 | 0 1 5 |
| 40.1 | 2.249 | 30.3 | 1 0 9 |
| 48.3 | 1.883 | 38.1 | 1 1 0 |
| 53.8 | 1.703 | 29.3 | 0 1 14 |
| 57.2 | 1.610 | 38.8 | 1 1 9 |